Structure and computed powder X-ray diffraction pattern of RbGaH4 (a crystal structure in Alexandria, relaxed with PBE; λ = 1.5418 Å (Cu Kα)).
Lines closer than 0.1° are merged.

The 10 most intense peaks (5° ≤ 2θ ≤ 70°), in order of rising 2θ:
(hkl)	2theta	I_rel
0 0 2	23.6	34.7
2 1 0	24.6	94.8
1 0 2	25.5	48.0
2 1 1	27.4	100.0
1 1 2	30.0	50.1
0 2 0	31.5	46.8
2 1 2	34.4	27.0
4 0 1	40.3	37.6
1 2 2	40.9	27.9
4 2 1	52.1	60.7

Cell and atoms:
Lattice parameters (Å, degrees): 9.3698 5.6804 7.5313 90.00 90.00 90.00
Fractional coordinates of all 24 atoms:
Rb 0.1818 0.2500 0.1624
Rb 0.3182 0.7500 0.6624
Rb 0.6818 0.2500 0.3376
Rb 0.8182 0.7500 0.8376
Ga 0.0624 0.2500 0.6935
Ga 0.4376 0.7500 0.1935
Ga 0.5624 0.2500 0.8065
Ga 0.9376 0.7500 0.3065
H 0.0825 0.0223 0.8174
H 0.0825 0.4777 0.8174
H 0.0946 0.7500 0.3876
H 0.1845 0.2500 0.5460
H 0.3155 0.7500 0.0460
H 0.4054 0.2500 0.8876
H 0.4175 0.5223 0.3174
H 0.4175 0.9777 0.3174
H 0.5825 0.0223 0.6826
H 0.5825 0.4777 0.6826
H 0.5946 0.7500 0.1124
H 0.6845 0.2500 0.9540
H 0.8155 0.7500 0.4540
H 0.9054 0.2500 0.6124
H 0.9175 0.5223 0.1826
H 0.9175 0.9777 0.1826